Er5Co2Se2: computed powder diffraction line list (CuKα), based on DFT lattice parameters and positions (GGA-PBE).

```
data_Er5Co2Se2
_chemical_formula_sum 'Er20 Co8 Se8'
_cell_length_a 3.8223
_cell_length_b 14.4958
_cell_length_c 14.3440
_cell_angle_alpha 90.00
_cell_angle_beta 90.00
_cell_angle_gamma 90.00
_symmetry_space_group_name_H-M 'C m c m'
_symmetry_Int_Tables_number 63
_symmetry_space_group_name_Hall '-C 2c 2'
loop_
_atom_site_label
_atom_site_type_symbol
_atom_site_fract_x
_atom_site_fract_y
_atom_site_fract_z
_atom_site_occupancy
Er1 Er 0.0000 0.0367 0.1210 1
Er2 Er 0.0000 0.2561 0.6228 1
Er3 Er 0.0000 0.3917 0.2500 1
Co1 Co 0.0000 0.1827 0.2500 1
Co2 Co 0.0000 0.4123 0.7500 1
Se1 Se 0.0000 0.3822 0.0391 1
```

Most intense lines, 5 to 70 degrees two-theta, low angle first:
d 2.998, I = 40, hkl 1 3 0; d 2.934, I = 100, hkl 1 3 1; d 2.574, I = 88, hkl 1 1 4; d 2.549, I = 100, hkl 0 4 4; d 2.540, I = 54, hkl 1 3 3; d 2.382, I = 28, hkl 0 6 1; d 2.266, I = 35, hkl 1 1 5; d 1.911, I = 40, hkl 2 0 0; d 1.538, I = 30, hkl 1 7 5; d 1.529, I = 42, hkl 2 4 4

ErCo5Si3: computed powder diffraction line list (CuKα), based on DFT lattice parameters and positions (GGA-PBE).

```
data_ErCo5Si3
_chemical_formula_sum 'Er6 Co30 Si18'
_cell_length_a 14.6290
_cell_length_b 14.6290
_cell_length_c 3.6757
_cell_angle_alpha 90.00
_cell_angle_beta 90.00
_cell_angle_gamma 120.00
_symmetry_space_group_name_H-M 'P 63/m'
_symmetry_Int_Tables_number 176
_symmetry_space_group_name_Hall '-P 6c'
loop_
_atom_site_label
_atom_site_type_symbol
_atom_site_fract_x
_atom_site_fract_y
_atom_site_fract_z
_atom_site_occupancy
Er1 Er 0.1006 0.7069 0.2500 1
Co1 Co 0.0286 0.9007 0.2500 1
Co2 Co 0.0488 0.2672 0.2500 1
Co3 Co 0.0744 0.5340 0.7500 1
Co4 Co 0.1479 0.4124 0.7500 1
Co5 Co 0.2248 0.5719 0.2500 1
Si1 Si 0.0617 0.4311 0.2500 1
Si2 Si 0.1172 0.8704 0.7500 1
Si3 Si 0.2387 0.6819 0.7500 1
```

Most intense lines, 5 to 70 degrees two-theta, low angle first:
d 3.284, I = 12, hkl 1 1 1; d 2.909, I = 18, hkl 3 2 0; d 2.539, I = 16, hkl 1 3 1; d 2.397, I = 26, hkl 4 0 1; d 2.280, I = 100, hkl 3 2 1; d 2.112, I = 11, hkl 6 0 0; d 2.029, I = 11, hkl 2 5 0; d 1.838, I = 21, hkl 0 0 2; d 1.678, I = 15, hkl 1 7 0; d 1.624, I = 13, hkl 5 3 1

- Which formula does entry 1 have?
  Er5Co2Se2